For Ac2TmBi2O2, the GGA-PBE geometry in Alexandria gives the computed XRD peak list in this record (Cu Ka).
Lines closer than 0.1° are merged.

The 10 most intense peaks (2θ from 15° to 90°), in order of rising 2θ:
d (Å), I (rel.)
3.179, 76
2.763, 100
2.248, 34
1.744, 53
1.590, 12
1.534, 11
1.422, 15
1.381, 9
1.378, 12
1.175, 15

Structural model:
Unit cell a=9.314 b=9.314 c=9.314 alpha=152.07 beta=152.07 gamma=39.92
Positions (direct):
Ac (0.111, 0.111, 0.000)
Ac (0.889, 0.889, 0.000)
Tm (0.500, 0.500, 0.000)
Bi (0.313, 0.313, 0.000)
Bi (0.687, 0.687, 0.000)
O (0.000, 0.500, 0.500)
O (0.500, 0.000, 0.500)